(1)
Structure and calculated powder diffraction line list of Li4ThAu3O12 (the PBE geometry in Alexandria; CuKα).

Largest 8 diffraction maxima, in order of rising 2θ, 2θ from 10° to 90°:
d = 3.806 Å, 23.37 deg, I 100; d = 2.691 Å, 33.29 deg, I 84; d = 2.198 Å, 41.07 deg, I 40; d = 1.903 Å, 47.79 deg, I 20; d = 1.702 Å, 53.86 deg, I 43; d = 1.554 Å, 59.49 deg, I 41; d = 1.269 Å, 74.84 deg, I 24; d = 1.204 Å, 79.66 deg, I 16

Cell lengths 7.612, 7.612, 7.612 Å; angles 90.00, 90.00, 90.00 degrees
Space group Im-3 (No. 204)
Unique sites:
Li1 0.250 0.250 0.250 (multiplicity 8)
Th1 0.000 0.000 0.000 (multiplicity 2)
Au1 0.000 0.000 0.500 (multiplicity 6)
O1 0.000 0.298 0.165 (multiplicity 24)


(2)
Structure and calculated powder diffraction line list of Li2OsAu (the PBE geometry in Alexandria; CuKα).

Largest 8 diffraction maxima, in order of rising 2θ, 2θ from 10° to 90°:
d = 4.432 Å, 20.03 deg, I 100; d = 2.497 Å, 35.97 deg, I 47; d = 2.216 Å, 40.72 deg, I 19; d = 2.175 Å, 41.52 deg, I 89; d = 1.951 Å, 46.55 deg, I 23; d = 1.657 Å, 55.44 deg, I 28; d = 1.271 Å, 74.65 deg, I 13; d = 1.255 Å, 75.81 deg, I 12

Cell lengths 3.051, 4.345, 8.864 Å; angles 90.00, 90.00, 90.00 degrees
Space group Cmmm (No. 65)
Unique sites:
Li1 0.000 0.000 0.242 (multiplicity 4)
Os1 0.000 0.500 0.000 (multiplicity 2)
Au1 0.000 0.500 0.500 (multiplicity 2)


(3)
Structure and calculated powder diffraction line list of Li2PaAu8 (the PBE geometry in Alexandria; CuKα).

Largest 8 diffraction maxima, in order of rising 2θ, 2θ from 10° to 90°:
d = 4.057 Å, 21.91 deg, I 33; d = 2.771 Å, 32.31 deg, I 33; d = 2.672 Å, 33.54 deg, I 38; d = 2.635 Å, 34.03 deg, I 37; d = 2.402 Å, 37.44 deg, I 100; d = 2.374 Å, 37.91 deg, I 68; d = 2.238 Å, 40.30 deg, I 54; d = 1.413 Å, 66.15 deg, I 27

Cell lengths 4.806, 4.968, 9.679 Å; angles 89.01, 82.20, 66.76 degrees
Space group P-1 (No. 2)
Unique sites:
Li1 0.205 0.253 0.139 (multiplicity 2)
Pa1 0.500 0.000 0.500 (multiplicity 1)
Au1 0.149 0.638 0.611 (multiplicity 2)
Au2 0.186 0.736 0.320 (multiplicity 2)
Au3 0.255 0.753 0.003 (multiplicity 2)
Au4 0.293 0.226 0.831 (multiplicity 2)


(4)
Structure and calculated powder diffraction line list of LiPaAu4 (the PBE geometry in Alexandria; CuKα).

Largest 8 diffraction maxima, in order of rising 2θ, 2θ from 10° to 90°:
d = 3.195 Å, 27.93 deg, I 19; d = 2.558 Å, 35.09 deg, I 100; d = 2.344 Å, 38.40 deg, I 38; d = 2.322 Å, 38.79 deg, I 81; d = 2.261 Å, 39.88 deg, I 35; d = 1.828 Å, 49.88 deg, I 20; d = 1.442 Å, 64.66 deg, I 17; d = 1.421 Å, 65.69 deg, I 18

Cell lengths 9.582, 3.657, 7.162 Å; angles 90.00, 109.82, 90.00 degrees
Space group C2/m (No. 12)
Unique sites:
Li1 0.000 0.000 0.000 (multiplicity 2)
Pa1 0.000 0.000 0.500 (multiplicity 2)
Au1 0.160 0.500 0.301 (multiplicity 4)
Au2 0.160 0.500 0.848 (multiplicity 4)


(5)
Structure and calculated powder diffraction line list of Li2PbAu6 (the PBE geometry in Alexandria; CuKα).

Largest 8 diffraction maxima, in order of rising 2θ, 2θ from 10° to 90°:
d = 3.252 Å, 27.43 deg, I 47; d = 2.588 Å, 34.65 deg, I 87; d = 2.382 Å, 37.77 deg, I 47; d = 2.348 Å, 38.33 deg, I 100; d = 2.345 Å, 38.38 deg, I 78; d = 2.039 Å, 44.43 deg, I 24; d = 1.936 Å, 46.93 deg, I 54; d = 1.387 Å, 67.55 deg, I 24

Cell lengths 9.478, 14.291, 4.967 Å; angles 90.00, 91.59, 90.00 degrees
Space group C2/c (No. 15)
Unique sites:
Li1 0.215 0.091 0.007 (multiplicity 8)
Pb1 0.000 0.281 0.750 (multiplicity 4)
Au1 0.085 0.081 0.497 (multiplicity 8)
Au2 0.118 0.444 0.435 (multiplicity 8)
Au3 0.172 0.255 0.247 (multiplicity 8)


(6)
Structure and calculated powder diffraction line list of Li12Pb5Au2 (the PBE geometry in Alexandria; CuKα).

Largest 8 diffraction maxima, in order of rising 2θ, 2θ from 10° to 90°:
d = 3.952 Å, 22.50 deg, I 35; d = 3.593 Å, 24.78 deg, I 100; d = 3.498 Å, 25.47 deg, I 57; d = 3.285 Å, 27.15 deg, I 55; d = 2.778 Å, 32.22 deg, I 33; d = 2.693 Å, 33.27 deg, I 34; d = 2.620 Å, 34.22 deg, I 37; d = 2.352 Å, 38.26 deg, I 43

Cell lengths 14.980, 7.441, 7.251 Å; angles 90.00, 110.95, 90.00 degrees
Space group C2/m (No. 12)
Unique sites:
Li1 0.020 0.000 0.205 (multiplicity 4)
Li2 0.064 0.500 0.667 (multiplicity 4)
Li3 0.138 0.309 0.377 (multiplicity 8)
Li4 0.144 0.270 0.954 (multiplicity 8)
Pb1 0.000 0.500 0.000 (multiplicity 2)
Pb2 0.200 0.000 0.703 (multiplicity 4)
Pb3 0.233 0.000 0.250 (multiplicity 4)
Au1 0.000 0.194 0.500 (multiplicity 4)


(7)
Structure and calculated powder diffraction line list of Li4PbAu (the PBE geometry in Alexandria; CuKα).

Largest 8 diffraction maxima, in order of rising 2θ, 2θ from 10° to 90°:
d = 3.991 Å, 22.28 deg, I 100; d = 2.850 Å, 31.39 deg, I 14; d = 2.322 Å, 38.78 deg, I 28; d = 2.317 Å, 38.88 deg, I 27; d = 2.304 Å, 39.10 deg, I 28; d = 1.995 Å, 45.46 deg, I 16; d = 1.793 Å, 50.92 deg, I 15; d = 1.508 Å, 61.47 deg, I 13

Cell lengths 7.982, 4.608, 5.700 Å; angles 90.00, 90.22, 90.00 degrees
Space group C2/m (No. 12)
Unique sites:
Li1 0.166 0.000 0.243 (multiplicity 4)
Li2 0.167 0.000 0.760 (multiplicity 4)
Pb1 0.000 0.500 0.500 (multiplicity 2)
Au1 0.000 0.500 0.000 (multiplicity 2)


(8)
Structure and calculated powder diffraction line list of LiPbAu (the PBE geometry in Alexandria; CuKα).

Largest 8 diffraction maxima, in order of rising 2θ, 2θ from 10° to 90°:
d = 4.219 Å, 21.06 deg, I 93; d = 3.248 Å, 27.46 deg, I 67; d = 2.574 Å, 34.86 deg, I 60; d = 2.436 Å, 36.90 deg, I 100; d = 1.949 Å, 46.61 deg, I 99; d = 1.431 Å, 65.17 deg, I 20; d = 1.351 Å, 69.58 deg, I 32; d = 1.291 Å, 73.36 deg, I 27

Cell lengths 4.8720, 4.8720, 3.2479 Å; angles 90.00, 90.00, 120.00 degrees
Space group P3m1 (No. 156)
Unique sites:
Li1 0.0000 0.0000 0.0000 (multiplicity 1)
Pb1 0.6667 0.3333 0.4956 (multiplicity 1)
Au1 0.3333 0.6667 0.5110 (multiplicity 1)